This entry pairs a crystal structure of ZrScPbBr with its calculated XRD peak list. Radiation: Cu Kα (λ = 1.5418 Å). Structure: a DFT-relaxed cell (GGA-PBE, Alexandria).

Structural model:
Cell: 3.5456 3.8723 7.3525 Å, 90.00 90.00 90.00°
Fractional coordinates of all 4 atoms:
Zr 0.0000 0.0000 0.0000
Sc 0.5000 0.5000 0.7560
Pb 0.5000 0.5000 0.2164
Br 0.0000 0.0000 0.6078

Principal peaks in the range 2θ from 5° to 70°, sorted by position:
- 12.04 deg, rel. 472
- 24.21 deg, rel. 269
- 26.01 deg, rel. 475
- 27.94 deg, rel. 399
- 33.61 deg, rel. 685
- 34.29 deg, rel. 1000
- 35.17 deg, rel. 606
- 42.42 deg, rel. 250
- 59.97 deg, rel. 255
- 62.96 deg, rel. 220

---

This entry pairs a crystal structure of Zn4GaSb with its calculated XRD peak list. Radiation: Cu Kα (λ = 1.5418 Å). Structure: a DFT-relaxed cell (GGA-PBE, Alexandria).

Structural model:
Cell: 5.4060 5.4060 5.4060 Å, 60.00 60.00 60.00°
Fractional coordinates of all 6 atoms:
Zn 0.3758 0.3758 0.3758
Zn 0.3758 0.3758 0.8725
Zn 0.3758 0.8725 0.3758
Zn 0.8725 0.3758 0.3758
Ga 0.7500 0.7500 0.7500
Sb 0.0000 0.0000 0.0000

Principal peaks in the range 2θ from 5° to 70°, sorted by position:
- 20.12 deg, rel. 23
- 23.27 deg, rel. 31
- 33.14 deg, rel. 373
- 39.08 deg, rel. 1000
- 40.89 deg, rel. 309
- 47.57 deg, rel. 14
- 53.61 deg, rel. 10
- 59.21 deg, rel. 136
- 63.20 deg, rel. 308
- 69.56 deg, rel. 246

---

This entry pairs a crystal structure of Tb3PmZn with its calculated XRD peak list. Radiation: Cu Kα (λ = 1.5418 Å). Structure: a DFT-relaxed cell (GGA-PBE, Alexandria).

Structural model:
Cell: 7.1826 7.1826 7.8033 Å, 117.41 117.41 71.92°
Fractional coordinates of all 10 atoms:
Tb 0.0469 0.0469 0.3071
Tb 0.1111 0.5150 0.2872
Tb 0.4850 0.8889 0.7128
Tb 0.5150 0.1111 0.2872
Tb 0.8889 0.4850 0.7128
Tb 0.9531 0.9531 0.6929
Pm 0.4176 0.4176 0.7291
Pm 0.5824 0.5824 0.2709
Zn 0.2652 0.2652 0.9372
Zn 0.7348 0.7348 0.0628

Principal peaks in the range 2θ from 5° to 70°, sorted by position:
- 26.31 deg, rel. 275
- 27.80 deg, rel. 550
- 28.21 deg, rel. 442
- 31.36 deg, rel. 1000
- 31.64 deg, rel. 609
- 33.92 deg, rel. 321
- 36.07 deg, rel. 708
- 36.40 deg, rel. 228
- 50.98 deg, rel. 241
- 53.43 deg, rel. 200

---

This entry pairs a crystal structure of Tb3SnRh4 with its calculated XRD peak list. Radiation: Cu Kα (λ = 1.5418 Å). Structure: a DFT-relaxed cell (GGA-PBE, Alexandria).

Structural model:
Cell: 8.3097 8.3097 8.3097 Å, 33.51 33.51 33.51°
Fractional coordinates of all 8 atoms:
Tb 0.0000 0.0000 0.0000
Tb 0.2456 0.2456 0.2456
Tb 0.7544 0.7544 0.7544
Sn 0.5000 0.5000 0.5000
Rh 0.1245 0.1245 0.1245
Rh 0.3772 0.3772 0.3772
Rh 0.6228 0.6228 0.6228
Rh 0.8755 0.8755 0.8755

Principal peaks in the range 2θ from 5° to 70°, sorted by position:
- 26.29 deg, rel. 33
- 28.70 deg, rel. 7
- 37.53 deg, rel. 1000
- 46.40 deg, rel. 10
- 54.12 deg, rel. 172
- 61.14 deg, rel. 14
- 67.70 deg, rel. 257
- 67.76 deg, rel. 89

---

This entry pairs a crystal structure of LiCa6Tl5 with its calculated XRD peak list. Radiation: Cu Kα (λ = 1.5418 Å). Structure: a DFT-relaxed cell (GGA-PBE, Alexandria).

Structural model:
Cell: 8.7078 8.7078 7.7615 Å, 90.00 90.00 143.31°
Fractional coordinates of all 12 atoms:
Li 0.0000 0.0000 0.0000
Ca 0.1685 0.8315 0.2490
Ca 0.1685 0.8315 0.7510
Ca 0.5000 0.5000 0.2566
Ca 0.5000 0.5000 0.7434
Ca 0.8315 0.1685 0.2490
Ca 0.8315 0.1685 0.7510
Tl 0.0000 0.0000 0.5000
Tl 0.3326 0.6674 0.5000
Tl 0.3408 0.6592 0.0000
Tl 0.6592 0.3408 0.0000
Tl 0.6674 0.3326 0.5000

Principal peaks in the range 2θ from 5° to 70°, sorted by position:
- 22.89 deg, rel. 497
- 32.50 deg, rel. 198
- 32.62 deg, rel. 1000
- 40.14 deg, rel. 79
- 40.28 deg, rel. 82
- 46.77 deg, rel. 216
- 52.71 deg, rel. 154
- 58.08 deg, rel. 219
- 58.27 deg, rel. 227
- 68.32 deg, rel. 91

---

This entry pairs a crystal structure of NaSnF2 with its calculated XRD peak list. Radiation: Cu Kα (λ = 1.5418 Å). Structure: a DFT-relaxed cell (GGA-PBE, Alexandria).

Structural model:
Cell: 7.9815 7.9815 5.9956 Å, 90.00 90.00 133.03°
Fractional coordinates of all 16 atoms:
Na 0.0656 0.4344 0.2500
Na 0.4344 0.0656 0.7500
Na 0.5656 0.9344 0.2500
Na 0.9344 0.5656 0.7500
Sn 0.0881 0.9119 0.2663
Sn 0.4119 0.5881 0.7663
Sn 0.5881 0.4119 0.2337
Sn 0.9119 0.0881 0.7337
F 0.0710 0.9290 0.6470
F 0.2348 0.7652 0.4426
F 0.2652 0.7348 0.9426
F 0.4290 0.5710 0.1470
F 0.5710 0.4290 0.8530
F 0.7348 0.2652 0.0574
F 0.7652 0.2348 0.5574
F 0.9290 0.0710 0.3530

Principal peaks in the range 2θ from 5° to 70°, sorted by position:
- 19.13 deg, rel. 945
- 28.05 deg, rel. 597
- 28.57 deg, rel. 631
- 29.80 deg, rel. 483
- 34.18 deg, rel. 1000
- 36.84 deg, rel. 279
- 43.27 deg, rel. 297
- 46.93 deg, rel. 453
- 55.75 deg, rel. 290
- 56.59 deg, rel. 304

---

This entry pairs a crystal structure of LiNdZn with its calculated XRD peak list. Radiation: Cu Kα (λ = 1.5418 Å). Structure: a DFT-relaxed cell (GGA-PBE, Alexandria).

Structural model:
Cell: 3.4312 3.4312 11.5591 Å, 90.00 90.00 90.00°
Fractional coordinates of all 6 atoms:
Li 0.2500 0.2500 0.0742
Li 0.7500 0.7500 0.9258
Nd 0.2500 0.2500 0.3744
Nd 0.7500 0.7500 0.6256
Zn 0.2500 0.2500 0.8059
Zn 0.7500 0.7500 0.1941

Principal peaks in the range 2θ from 5° to 70°, sorted by position:
- 7.65 deg, rel. 816
- 30.29 deg, rel. 1000
- 30.94 deg, rel. 122
- 35.02 deg, rel. 390
- 37.05 deg, rel. 409
- 49.02 deg, rel. 136
- 53.40 deg, rel. 141
- 54.85 deg, rel. 147
- 62.64 deg, rel. 246
- 65.47 deg, rel. 123

---

This entry pairs a crystal structure of Np2Mo3N5 with its calculated XRD peak list. Radiation: Cu Kα (λ = 1.5418 Å). Structure: a DFT-relaxed cell (GGA-PBE, Alexandria).

Structural model:
Cell: 5.8712 5.8712 8.1909 Å, 124.48 124.48 31.00°
Fractional coordinates of all 10 atoms:
Np 0.1687 0.1687 0.2636
Np 0.8313 0.8313 0.7364
Mo 0.0000 0.0000 0.5000
Mo 0.3808 0.3808 0.1239
Mo 0.6192 0.6192 0.8761
N 0.2051 0.2051 0.7967
N 0.4059 0.4059 0.5878
N 0.5000 0.5000 0.0000
N 0.5941 0.5941 0.4122
N 0.7949 0.7949 0.2033

Principal peaks in the range 2θ from 5° to 70°, sorted by position:
- 15.79 deg, rel. 237
- 26.90 deg, rel. 270
- 30.56 deg, rel. 198
- 33.07 deg, rel. 957
- 35.41 deg, rel. 1000
- 38.60 deg, rel. 974
- 42.01 deg, rel. 299
- 58.36 deg, rel. 356
- 64.91 deg, rel. 214
- 69.20 deg, rel. 245

---

This entry pairs a crystal structure of Er8MgSc6 with its calculated XRD peak list. Radiation: Cu Kα (λ = 1.5418 Å). Structure: a DFT-relaxed cell (GGA-PBE, Alexandria).

Structural model:
Cell: 7.8446 7.8446 7.8446 Å, 72.12 72.12 72.12°
Fractional coordinates of all 15 atoms:
Er 0.0922 0.0922 0.0922
Er 0.1287 0.5660 0.2701
Er 0.2701 0.1287 0.5660
Er 0.4340 0.7299 0.8713
Er 0.5660 0.2701 0.1287
Er 0.7299 0.8713 0.4340
Er 0.8713 0.4340 0.7299
Er 0.9078 0.9078 0.9078
Mg 0.5000 0.5000 0.5000
Sc 0.1136 0.7877 0.5490
Sc 0.2123 0.4510 0.8864
Sc 0.4510 0.8864 0.2123
Sc 0.5490 0.1136 0.7877
Sc 0.7877 0.5490 0.1136
Sc 0.8864 0.2123 0.4510

Principal peaks in the range 2θ from 5° to 70°, sorted by position:
- 15.40 deg, rel. 406
- 28.15 deg, rel. 284
- 30.01 deg, rel. 786
- 30.48 deg, rel. 204
- 31.09 deg, rel. 140
- 31.35 deg, rel. 1000
- 36.28 deg, rel. 449
- 36.81 deg, rel. 312
- 52.43 deg, rel. 258
- 54.98 deg, rel. 203

---

This entry pairs a crystal structure of Cs2MgCrI6 with its calculated XRD peak list. Radiation: Cu Kα (λ = 1.5418 Å). Structure: a DFT-relaxed cell (GGA-PBE, Alexandria).

Structural model:
Cell: 8.2851 8.2851 8.2851 Å, 60.00 60.00 60.00°
Fractional coordinates of all 10 atoms:
Cs 0.2500 0.2500 0.2500
Cs 0.7500 0.7500 0.7500
Mg 0.0000 0.0000 0.0000
Cr 0.5000 0.5000 0.5000
I 0.2538 0.2538 0.7462
I 0.2538 0.7462 0.2538
I 0.2538 0.7462 0.7462
I 0.7462 0.2538 0.2538
I 0.7462 0.2538 0.7462
I 0.7462 0.7462 0.2538

Principal peaks in the range 2θ from 5° to 70°, sorted by position:
- 13.09 deg, rel. 13
- 15.12 deg, rel. 19
- 21.45 deg, rel. 24
- 26.35 deg, rel. 1000
- 30.52 deg, rel. 705
- 37.61 deg, rel. 10
- 43.70 deg, rel. 515
- 51.75 deg, rel. 457
- 54.24 deg, rel. 179
- 63.52 deg, rel. 83

---

This entry pairs a crystal structure of Pr2HoTh3As6 with its calculated XRD peak list. Radiation: Cu Kα (λ = 1.5418 Å). Structure: a DFT-relaxed cell (GGA-PBE, Alexandria).

Structural model:
Cell: 9.4960 9.4960 8.4799 Å, 102.77 102.77 25.88°
Fractional coordinates of all 12 atoms:
Pr 0.1663 0.1663 0.3331
Pr 0.8337 0.8337 0.6669
Ho 0.5000 0.5000 0.0000
Th 0.1675 0.1675 0.8340
Th 0.5000 0.5000 0.5000
Th 0.8325 0.8325 0.1660
As 0.0017 0.0017 0.7564
As 0.3348 0.3348 0.4136
As 0.3359 0.3359 0.9215
As 0.6641 0.6641 0.0785
As 0.6652 0.6652 0.5864
As 0.9983 0.9983 0.2436

Principal peaks in the range 2θ from 5° to 70°, sorted by position:
- 25.69 deg, rel. 320
- 29.75 deg, rel. 1000
- 42.56 deg, rel. 633
- 42.65 deg, rel. 126
- 50.37 deg, rel. 138
- 52.76 deg, rel. 203
- 52.92 deg, rel. 67
- 61.78 deg, rel. 126
- 67.98 deg, rel. 46
- 69.98 deg, rel. 116

---

This entry pairs a crystal structure of CrTcSb4 with its calculated XRD peak list. Radiation: Cu Kα (λ = 1.5418 Å). Structure: a DFT-relaxed cell (GGA-PBE, Alexandria).

Structural model:
Cell: 6.0948 6.0948 6.0948 Å, 60.00 60.00 60.00°
Fractional coordinates of all 6 atoms:
Cr 0.0000 0.0000 0.0000
Tc 0.2500 0.2500 0.2500
Sb 0.1250 0.6250 0.6250
Sb 0.6250 0.1250 0.6250
Sb 0.6250 0.6250 0.1250
Sb 0.6250 0.6250 0.6250

Principal peaks in the range 2θ from 5° to 70°, sorted by position:
- 17.82 deg, rel. 253
- 29.31 deg, rel. 151
- 34.51 deg, rel. 1000
- 36.10 deg, rel. 559
- 41.93 deg, rel. 127
- 45.89 deg, rel. 68
- 51.97 deg, rel. 57
- 55.39 deg, rel. 331
- 60.79 deg, rel. 305
- 63.89 deg, rel. 51